No. 1
The following is a theoretical powder diffraction line list of RbGd3F10. It was derived from DFT lattice parameters and positions (PBE), using copper Kα.

Peak list (12 most intense, 2θ from 10° to 90°, in order of rising 2θ)
2θ/deg	Rel. int.
14.9	7
21.1	8
25.9	100
30.0	42
42.9	48
50.8	56
53.2	13
62.3	8
68.6	20
70.7	14
78.6	17
84.5	13

Cell: 8.429 8.429 8.429 Å, 60.00 60.00 60.00°
Element x y z (fractional)
Rb: 0.250 0.250 0.250
Rb: 0.750 0.750 0.750
Gd: 0.240 0.240 0.760
Gd: 0.240 0.760 0.240
Gd: 0.240 0.760 0.760
Gd: 0.760 0.240 0.240
Gd: 0.760 0.240 0.760
Gd: 0.760 0.760 0.240
F: 0.111 0.111 0.111
F: 0.111 0.111 0.666
F: 0.111 0.666 0.111
F: 0.170 0.500 0.500
F: 0.170 0.500 0.830
F: 0.170 0.830 0.500
F: 0.334 0.889 0.889
F: 0.500 0.170 0.500
F: 0.500 0.170 0.830
F: 0.500 0.500 0.170
F: 0.500 0.500 0.830
F: 0.500 0.830 0.170
F: 0.500 0.830 0.500
F: 0.666 0.111 0.111
F: 0.830 0.170 0.500
F: 0.830 0.500 0.170
F: 0.830 0.500 0.500
F: 0.889 0.334 0.889
F: 0.889 0.889 0.334
F: 0.889 0.889 0.889



No. 2
The following is a theoretical powder diffraction line list of LiEu3. It was derived from DFT lattice parameters and positions (PBE), using copper Kα.

Peak list (12 most intense, 2θ from 10° to 90°, in order of rising 2θ)
2θ/deg	Rel. int.
19.6	32
23.4	13
27.1	23
28.7	27
30.7	100
39.0	9
39.9	17
47.9	19
52.1	23
56.8	23
58.0	16
78.4	16

Cell: 7.597 7.597 6.223 Å, 90.00 90.00 120.00°
Element x y z (fractional)
Li: 0.333 0.667 0.250
Li: 0.667 0.333 0.750
Eu: 0.169 0.338 0.750
Eu: 0.169 0.831 0.750
Eu: 0.338 0.169 0.250
Eu: 0.662 0.831 0.750
Eu: 0.831 0.169 0.250
Eu: 0.831 0.662 0.250



No. 3
The following is a theoretical powder diffraction line list of NbCrN. It was derived from DFT lattice parameters and positions (PBE), using copper Kα.

Peak list (12 most intense, 2θ from 10° to 90°, in order of rising 2θ)
2θ/deg	Rel. int.
24.0	10
31.8	31
36.3	25
38.3	100
42.1	83
47.4	28
56.8	26
61.0	25
73.1	12
74.4	27
78.3	13
80.7	10

Cell: 3.037 3.037 7.425 Å, 90.00 90.00 90.00°
Element x y z (fractional)
Nb: 0.250 0.250 0.178
Nb: 0.750 0.750 0.822
Cr: 0.250 0.250 0.586
Cr: 0.750 0.750 0.414
N: 0.250 0.250 0.861
N: 0.750 0.750 0.139



No. 4
The following is a theoretical powder diffraction line list of Eu3In2P4. It was derived from DFT lattice parameters and positions (PBE), using copper Kα.

Peak list (12 most intense, 2θ from 10° to 90°, in order of rising 2θ)
2θ/deg	Rel. int.
21.4	30
24.7	24
25.3	69
26.0	37
27.1	53
29.2	33
31.8	23
34.9	100
36.0	30
38.2	55
42.0	35
51.9	26

Cell: 6.612 16.041 4.301 Å, 90.00 90.00 90.00°
Element x y z (fractional)
Eu: 0.000 0.000 0.000
Eu: 0.210 0.301 0.500
Eu: 0.290 0.801 0.000
Eu: 0.500 0.500 0.500
Eu: 0.710 0.199 0.000
Eu: 0.790 0.699 0.500
In: 0.140 0.587 0.000
In: 0.360 0.087 0.500
In: 0.640 0.913 0.500
In: 0.860 0.413 0.000
P: 0.234 0.170 0.000
P: 0.250 0.430 0.000
P: 0.250 0.930 0.500
P: 0.266 0.670 0.500
P: 0.734 0.330 0.500
P: 0.750 0.070 0.500
P: 0.750 0.570 0.000
P: 0.766 0.830 0.000



No. 5
The following is a theoretical powder diffraction line list of Nd2Ga2Co15. It was derived from DFT lattice parameters and positions (PBE), using copper Kα.

Peak list (12 most intense, 2θ from 10° to 90°, in order of rising 2θ)
2θ/deg	Rel. int.
30.4	29
31.6	19
36.8	49
38.3	53
42.8	82
43.2	100
44.0	33
44.2	34
48.5	35
63.1	16
78.4	20
80.6	17

Cell: 6.371 6.371 6.371 Å, 83.12 83.12 83.12°
Element x y z (fractional)
Nd: 0.149 0.149 0.149
Nd: 0.851 0.851 0.851
Ga: 0.393 0.393 0.393
Ga: 0.607 0.607 0.607
Co: 0.000 0.500 0.500
Co: 0.152 0.152 0.650
Co: 0.152 0.650 0.152
Co: 0.214 0.500 0.786
Co: 0.214 0.786 0.500
Co: 0.350 0.848 0.848
Co: 0.500 0.000 0.500
Co: 0.500 0.214 0.786
Co: 0.500 0.500 0.000
Co: 0.500 0.786 0.214
Co: 0.650 0.152 0.152
Co: 0.786 0.214 0.500
Co: 0.786 0.500 0.214
Co: 0.848 0.350 0.848
Co: 0.848 0.848 0.350



Which formula does entry 1 have? RbGd3F10